Record 1
# Sm7Ho3Tm2
Calculated powder XRD pattern, Cu Kα (weighted mean of Kα1 and Kα2). Input: a crystal structure in Alexandria, relaxed with GGA-PBE.
Peak positions follow from Bragg's law for the DFT cell and can differ from measured ones.

The 12 most intense peaks (2θ from 15° to 90°), sorted by position:
28.70°, rel. 34; 29.17°, rel. 31; 30.56°, rel. 28; 31.07°, rel. 100; 31.94°, rel. 70; 32.05°, rel. 73; 32.69°, rel. 88; 32.75°, rel. 81; 49.82°, rel. 42; 59.98°, rel. 27; 61.24°, rel. 29; 61.78°, rel. 47

Structural model:
Unit cell a=6.402 b=3.559 c=17.269 alpha=90.00 beta=90.22 gamma=90.00
Element x y z (fractional)
Sm 0.000 0.000 0.000
Sm 0.176 0.500 0.170
Sm 0.242 0.500 0.495
Sm 0.323 0.000 0.833
Sm 0.677 0.000 0.167
Sm 0.758 0.500 0.505
Sm 0.824 0.500 0.830
Ho 0.001 0.000 0.341
Ho 0.500 0.500 0.000
Ho 0.999 0.000 0.659
Tm 0.490 0.500 0.671
Tm 0.510 0.500 0.329

---

Record 2
# Pm10Er4Tm
Calculated powder XRD pattern, Cu Kα (weighted mean of Kα1 and Kα2). Input: a crystal structure in Alexandria, relaxed with GGA-PBE.
Peak positions follow from Bragg's law for the DFT cell and can differ from measured ones.

The 12 most intense peaks (2θ from 15° to 90°), sorted by position:
19.84°, rel. 30; 22.95°, rel. 10; 32.68°, rel. 100; 38.52°, rel. 17; 46.89°, rel. 18; 51.39°, rel. 7; 58.32°, rel. 38; 68.48°, rel. 12; 72.09°, rel. 5; 77.92°, rel. 11; 78.05°, rel. 5; 87.12°, rel. 4

Structural model:
Unit cell a=9.495 b=9.495 c=9.495 alpha=99.57 beta=99.57 gamma=131.88
Element x y z (fractional)
Pm 0.050 0.350 0.900
Pm 0.151 0.050 0.700
Pm 0.250 0.750 0.500
Pm 0.350 0.450 0.300
Pm 0.450 0.151 0.100
Pm 0.550 0.849 0.900
Pm 0.650 0.550 0.700
Pm 0.750 0.250 0.500
Pm 0.849 0.950 0.300
Pm 0.950 0.650 0.100
Er 0.100 0.700 0.800
Er 0.300 0.100 0.400
Er 0.700 0.900 0.600
Er 0.900 0.300 0.200
Tm 0.500 0.500 0.000